# 1
Theoretical powder X-ray diffraction pattern of SrGa5Au3 for Cu Kα (λ = 1.5418 Å), from the GGA-PBE geometry in Alexandria.
Neutral-atom scattering factors, no anomalous dispersion.

Cell and atoms:
Cell lengths 4.2426, 13.2767, 13.5476 Å; angles 90.00, 90.00, 90.00 degrees
Space group Cmcm (No. 63)
Symmetry-distinct sites (fractional):
1 Sr 0.0000 0.1592 0.2500 (multiplicity 4)
2 Ga 0.0000 0.0000 0.0000 (multiplicity 4)
3 Ga 0.0000 0.1893 0.5677 (multiplicity 8)
4 Ga 0.0000 0.4469 0.1495 (multiplicity 8)
5 Au 0.0000 0.1219 0.7500 (multiplicity 4)
6 Au 0.0000 0.3799 0.5575 (multiplicity 8)

Top 8 peaks for 10 to 90 degrees two-theta, in order of falling intensity:
index  2θ (°)  I_rel
1 1 5  40.06  100
1 3 2  32.07  97
1 5 2  42.31  82
2 0 0  42.62  70
0 2 3  23.83  65
1 1 2  25.67  62
0 4 0  26.86  61
1 1 3  29.66  58

---

# 2
Theoretical powder X-ray diffraction pattern of Be3Re5 for Cu Kα (λ = 1.5418 Å), from the GGA-PBE geometry in Alexandria.
Neutral-atom scattering factors, no anomalous dispersion.

Cell and atoms:
Cell lengths 9.0971, 9.0971, 4.7650 Å; angles 90.00, 90.00, 90.00 degrees
Space group I4/mcm (No. 140)
Symmetry-distinct sites (fractional):
1 Be 0.0000 0.0000 0.2500 (multiplicity 4)
2 Be 0.1702 0.3298 0.0000 (multiplicity 8)
3 Re 0.0000 0.5000 0.2500 (multiplicity 4)
4 Re 0.0733 0.2231 0.5000 (multiplicity 16)

Top 8 peaks for 10 to 90 degrees two-theta, in order of falling intensity:
index  2θ (°)  I_rel
3 2 1  40.43  100
4 1 1  45.29  85
2 1 1  28.86  68
2 2 2  47.49  64
3 1 0  31.09  57
4 2 0  44.54  44
6 3 1  72.44  31
0 0 2  37.76  26

---

# 3
Theoretical powder X-ray diffraction pattern of TiMo4W2 for Cu Kα (λ = 1.5418 Å), from the GGA-PBE geometry in Alexandria.
Neutral-atom scattering factors, no anomalous dispersion.

Cell and atoms:
Cell lengths 4.7009, 18.5750, 2.6182 Å; angles 90.00, 90.00, 90.00 degrees
Space group Cmmm (No. 65)
Symmetry-distinct sites (fractional):
1 Ti 0.0000 0.0000 0.0000 (multiplicity 2)
2 Mo 0.0000 0.1471 0.0000 (multiplicity 4)
3 Mo 0.0000 0.4321 0.5000 (multiplicity 4)
4 W 0.0000 0.2891 0.5000 (multiplicity 4)

Top 8 peaks for 10 to 90 degrees two-theta, in order of falling intensity:
index  2θ (°)  I_rel
1 7 0  38.98  100
1 1 1  39.70  56
2 0 0  38.29  54
1 3 1  42.11  27
1 7 2  85.19  21
0 4 1  39.52  19
3 7 0  69.69  18
0 6 1  45.37  15

---

# 4
Theoretical powder X-ray diffraction pattern of PuIn4Sn for Cu Kα (λ = 1.5418 Å), from the GGA-PBE geometry in Alexandria.
Neutral-atom scattering factors, no anomalous dispersion.

Cell and atoms:
Cell lengths 4.5721, 14.9115, 4.5430 Å; angles 90.00, 90.00, 90.00 degrees
Space group Cmmm (No. 65)
Symmetry-distinct sites (fractional):
1 Pu 0.0000 0.0000 0.0000 (multiplicity 2)
2 In 0.0000 0.1689 0.5000 (multiplicity 4)
3 In 0.0000 0.3349 0.0000 (multiplicity 4)
4 Sn 0.0000 0.5000 0.5000 (multiplicity 2)

Top 8 peaks for 10 to 90 degrees two-theta, in order of falling intensity:
index  2θ (°)  I_rel
1 3 1  33.13  100
0 6 0  36.14  20
2 0 0  39.42  16
1 9 1  63.09  15
0 0 2  39.68  15
2 6 0  54.55  13
3 3 1  67.51  13
1 3 3  67.87  12

---

# 5
Theoretical powder X-ray diffraction pattern of Zn2CrN3 for Cu Kα (λ = 1.5418 Å), from the GGA-PBE geometry in Alexandria.
Neutral-atom scattering factors, no anomalous dispersion.

Cell and atoms:
Cell lengths 9.5777, 5.5731, 5.2471 Å; angles 90.00, 90.00, 90.00 degrees
Space group Cmc2_1 (No. 36)
Symmetry-distinct sites (fractional):
1 Zn 0.1646 0.1659 0.0000 (multiplicity 8)
2 Cr 0.0000 0.3369 0.4866 (multiplicity 4)
3 N 0.0000 0.3603 0.8400 (multiplicity 4)
4 N 0.1522 0.1831 0.3898 (multiplicity 8)

Top 8 peaks for 10 to 90 degrees two-theta, in order of falling intensity:
index  2θ (°)  I_rel
3 1 1  36.68  100
0 0 2  34.18  57
0 2 1  36.51  53
3 1 0  32.32  47
3 3 0  57.39  30
3 1 3  62.84  30
3 3 2  68.52  26
0 2 0  32.12  23

---

# 6
Theoretical powder X-ray diffraction pattern of ZrZnMo for Cu Kα (λ = 1.5418 Å), from the GGA-PBE geometry in Alexandria.
Neutral-atom scattering factors, no anomalous dispersion.

Cell and atoms:
Cell lengths 3.4572, 3.4572, 8.7747 Å; angles 90.00, 90.00, 90.00 degrees
Space group I4mm (No. 107)
Symmetry-distinct sites (fractional):
1 Zr 0.0000 0.0000 0.0000 (multiplicity 2)
2 Zn 0.0000 0.0000 0.3220 (multiplicity 2)
3 Mo 0.0000 0.0000 0.6765 (multiplicity 2)

Top 8 peaks for 10 to 90 degrees two-theta, in order of falling intensity:
index  2θ (°)  I_rel
1 0 3  40.39  100
1 1 0  36.76  67
2 1 3  68.67  39
2 0 0  52.97  23
1 1 6  75.80  14
3 1 0  89.68  10
2 0 6  87.34  10
2 2 0  78.21  7

---

# 7
Theoretical powder X-ray diffraction pattern of B3Ru2 for Cu Kα (λ = 1.5418 Å), from the GGA-PBE geometry in Alexandria.
Neutral-atom scattering factors, no anomalous dispersion.

Cell and atoms:
Cell lengths 2.9250, 2.9250, 12.8349 Å; angles 90.00, 90.00, 120.00 degrees
Space group P6_3/mmc (No. 194)
Symmetry-distinct sites (fractional):
1 B 0.3333 0.6667 0.0305 (multiplicity 4)
2 B 0.3333 0.6667 0.2500 (multiplicity 2)
3 Ru 0.3333 0.6667 0.6399 (multiplicity 4)

Top 8 peaks for 10 to 90 degrees two-theta, in order of falling intensity:
index  2θ (°)  I_rel
1 0 1  36.14  100
1 0 5  50.63  79
0 0 4  27.80  60
1 0 0  35.44  43
1 0 3  41.43  31
1 1 0  63.62  29
1 1 4  70.80  25
1 0 4  45.63  24

---

# 8
Theoretical powder X-ray diffraction pattern of Cs2As4Pd3 for Cu Kα (λ = 1.5418 Å), from the GGA-PBE geometry in Alexandria.
Neutral-atom scattering factors, no anomalous dispersion.

Cell and atoms:
Cell lengths 7.2946, 15.6586, 4.8361 Å; angles 90.00, 100.29, 90.00 degrees
Space group P2_1/c (No. 14)
Symmetry-distinct sites (fractional):
1 Cs 0.1782 0.1214 0.0235 (multiplicity 4)
2 As 0.2002 0.5680 0.0818 (multiplicity 4)
3 As 0.3903 0.6417 0.8001 (multiplicity 4)
4 Pd 0.3410 0.7011 0.3222 (multiplicity 4)
5 Pd 0.5000 0.0000 0.5000 (multiplicity 2)

Top 8 peaks for 10 to 90 degrees two-theta, in order of falling intensity:
index  2θ (°)  I_rel
2 1 0  25.46  100
1 2 1  26.80  83
0 3 1  25.33  74
1 1 -2  38.11  68
2 2 -1  30.61  62
1 1 0  13.57  61
1 0 0  12.33  56
3 2 0  39.39  51